Diffraction record for Dy4Sc5In. The X-ray powder pattern is computed, not measured: it uses a PBE-relaxed structure and Cu Kα.
Peak positions follow from Bragg's law for the DFT cell and can differ from measured ones.

Structural model:
```
Dy4Sc5In
1.0
-5.064 5.064 2.751
5.064 -5.064 2.751
5.064 5.064 -2.751
Dy Sc In
4 5 1
Direct
0.000 0.313 0.313 Dy
0.000 0.687 0.687 Dy
0.313 0.000 0.313 Dy
0.687 0.000 0.687 Dy
0.232 0.232 0.000 Sc
0.322 0.322 0.631 Sc
0.322 0.691 0.000 Sc
0.691 0.322 0.000 Sc
0.691 0.691 0.369 Sc
0.744 0.744 0.000 In
```

Peak list (12 most intense, 10° ≤ 2θ ≤ 90°, in order of falling intensity)
| 2θ (°) | I (rel.) |
| --- | --- |
| 31.08 | 100 |
| 25.47 | 49 |
| 37.68 | 40 |
| 57.18 | 32 |
| 41.39 | 20 |
| 63.94 | 17 |
| 34.94 | 17 |
| 32.55 | 15 |
| 50.62 | 15 |
| 27.85 | 15 |
| 51.34 | 14 |
| 35.45 | 12 |

Diffraction record for Dy2Sc3In. The X-ray powder pattern is computed, not measured: it uses a PBE-relaxed structure and Cu Kα.
Peak positions follow from Bragg's law for the DFT cell and can differ from measured ones.

Structural model:
```
Dy2Sc3In
1.0
0.000 5.273 9.068
3.302 0.000 9.068
3.302 5.273 0.000
Dy Sc In
4 6 2
Direct
0.246 0.754 0.754 Dy
0.250 0.250 0.250 Dy
0.750 0.750 0.750 Dy
0.754 0.246 0.246 Dy
0.166 0.166 0.834 Sc
0.177 0.655 0.345 Sc
0.345 0.823 0.177 Sc
0.655 0.177 0.823 Sc
0.823 0.345 0.655 Sc
0.834 0.834 0.166 Sc
0.330 0.330 0.670 In
0.670 0.670 0.330 In
```

Peak list (12 most intense, 10° ≤ 2θ ≤ 90°, in order of falling intensity)
| 2θ (°) | I (rel.) |
| --- | --- |
| 33.53 | 100 |
| 34.19 | 52 |
| 34.00 | 26 |
| 19.47 | 23 |
| 48.53 | 22 |
| 66.97 | 14 |
| 19.58 | 13 |
| 60.74 | 13 |
| 48.72 | 12 |
| 60.54 | 12 |
| 60.86 | 11 |
| 60.98 | 9 |

Diffraction record for DySc2In4. The X-ray powder pattern is computed, not measured: it uses a PBE-relaxed structure and Cu Kα.
Peak positions follow from Bragg's law for the DFT cell and can differ from measured ones.

Structural model:
```
DySc2In4
1.0
-3.650 3.650 3.461
3.650 -3.650 3.461
3.650 3.650 -3.461
Dy Sc In
1 2 4
Direct
0.000 0.000 0.000 Dy
0.000 0.500 0.500 Sc
0.500 0.000 0.500 Sc
0.000 0.000 0.500 In
0.000 0.500 0.000 In
0.500 0.000 0.000 In
0.500 0.500 0.500 In
```

Peak list (12 most intense, 10° ≤ 2θ ≤ 90°, in order of falling intensity)
| 2θ (°) | I (rel.) |
| --- | --- |
| 35.75 | 100 |
| 34.76 | 54 |
| 62.96 | 37 |
| 17.66 | 29 |
| 49.98 | 19 |
| 64.87 | 17 |
| 30.27 | 15 |
| 24.39 | 12 |
| 75.75 | 11 |
| 83.83 | 8 |
| 84.40 | 8 |
| 52.91 | 8 |